Entry 1:
Computed powder X-ray diffraction pattern
Compound: NdB4
Radiation: λ = 1.5418 Å (Cu Kα)
Structure: a DFT-relaxed cell (GGA-PBE, the Materials Project)
Peak positions follow from Bragg's law for the DFT cell and can differ from measured ones.

Peak list (10 most intense, 10 to 80 degrees two-theta, sorted by position)
2θ = 21.6°, I 56
2θ = 24.6°, I 37
2θ = 27.6°, I 75
2θ = 32.9°, I 55
2θ = 35.3°, I 100
2θ = 45.3°, I 18
2θ = 52.1°, I 30
2θ = 52.7°, I 26
2θ = 57.0°, I 34
2θ = 70.5°, I 24

Structure:
Cell lengths 7.2384, 7.2384, 4.1200 Å; angles 90.00, 90.00, 90.00 degrees
Fractional positions:
Nd (0.1829, 0.3171, 0.0000)
Nd (0.3171, 0.8171, 0.0000)
Nd (0.6829, 0.1829, 0.0000)
Nd (0.8171, 0.6829, 0.0000)
B (0.0000, 0.0000, 0.2048)
B (0.0000, 0.0000, 0.7952)
B (0.0389, 0.8258, 0.5000)
B (0.0880, 0.5880, 0.5000)
B (0.1742, 0.0389, 0.5000)
B (0.3258, 0.5389, 0.5000)
B (0.4120, 0.0880, 0.5000)
B (0.4611, 0.3258, 0.5000)
B (0.5000, 0.5000, 0.2048)
B (0.5000, 0.5000, 0.7952)
B (0.5389, 0.6742, 0.5000)
B (0.5880, 0.9120, 0.5000)
B (0.6742, 0.4611, 0.5000)
B (0.8258, 0.9611, 0.5000)
B (0.9120, 0.4120, 0.5000)
B (0.9611, 0.1742, 0.5000)

***

Entry 2:
Computed powder X-ray diffraction pattern
Compound: UMn3
Radiation: λ = 1.5418 Å (Cu Kα)
Structure: a DFT-relaxed cell (GGA-PBE, the Materials Project)
Peak positions follow from Bragg's law for the DFT cell and can differ from measured ones.

Peak list (9 most intense, 10 to 80 degrees two-theta, sorted by position)
2θ = 23.3°, I 58
2θ = 33.2°, I 50
2θ = 41.0°, I 100
2θ = 47.7°, I 48
2θ = 53.7°, I 28
2θ = 59.3°, I 21
2θ = 69.7°, I 30
2θ = 74.6°, I 14
2θ = 79.4°, I 10

Structure:
Cell lengths 3.8157, 3.8157, 3.8157 Å; angles 90.00, 90.00, 90.00 degrees
Fractional positions:
U (0.0000, 0.0000, 0.0000)
Mn (0.0000, 0.5000, 0.5000)
Mn (0.5000, 0.0000, 0.5000)
Mn (0.5000, 0.5000, 0.0000)

***

Entry 3:
Computed powder X-ray diffraction pattern
Compound: RbC2I3N2
Radiation: λ = 1.5418 Å (Cu Kα)
Structure: a DFT-relaxed cell (GGA-PBE, the Materials Project)
Peak positions follow from Bragg's law for the DFT cell and can differ from measured ones.

Peak list (10 most intense, 10 to 80 degrees two-theta, sorted by position)
2θ = 13.2°, I 30
2θ = 19.2°, I 33
2θ = 24.2°, I 76
2θ = 25.3°, I 100
2θ = 28.2°, I 26
2θ = 31.9°, I 29
2θ = 33.4°, I 24
2θ = 41.7°, I 26
2θ = 42.6°, I 38
2θ = 43.2°, I 23

Structure:
Cell lengths 7.3623, 16.0948, 4.6125 Å; angles 90.00, 90.00, 90.00 degrees
Fractional positions:
Rb (0.2500, 0.2500, 0.1520)
Rb (0.7500, 0.7500, 0.8480)
C (0.2500, 0.0506, 0.7160)
C (0.2500, 0.4494, 0.7160)
C (0.7500, 0.5506, 0.2840)
C (0.7500, 0.9494, 0.2840)
I (0.2500, 0.5696, 0.8769)
I (0.2500, 0.7500, 0.1737)
I (0.2500, 0.9304, 0.8769)
I (0.7500, 0.0696, 0.1231)
I (0.7500, 0.2500, 0.8263)
I (0.7500, 0.4304, 0.1231)
N (0.2500, 0.1193, 0.6313)
N (0.2500, 0.3807, 0.6313)
N (0.7500, 0.6193, 0.3687)
N (0.7500, 0.8807, 0.3687)

***

Entry 4:
Computed powder X-ray diffraction pattern
Compound: KNb4Bi5O18
Radiation: λ = 1.5418 Å (Cu Kα)
Structure: a DFT-relaxed cell (GGA-PBE, the Materials Project)
Peak positions follow from Bragg's law for the DFT cell and can differ from measured ones.

Peak list (10 most intense, 10 to 80 degrees two-theta, sorted by position)
2θ = 28.4°, I 100
2θ = 28.8°, I 100
2θ = 31.9°, I 71
2θ = 35.5°, I 27
2θ = 45.3°, I 17
2θ = 46.2°, I 18
2θ = 48.5°, I 47
2θ = 54.5°, I 17
2θ = 55.1°, I 18
2θ = 59.5°, I 20

Structure:
Cell lengths 12.9459, 12.9459, 5.6157 Å; angles 90.22, 90.22, 154.98 degrees
Fractional positions:
K (0.0000, 0.0000, 0.0000)
Nb (0.0855, 0.9119, 0.4903)
Nb (0.4178, 0.5923, 0.9955)
Nb (0.5923, 0.4178, 0.9955)
Nb (0.9119, 0.0855, 0.4903)
Bi (0.1799, 0.7788, 0.0341)
Bi (0.3437, 0.7458, 0.5330)
Bi (0.4652, 0.4652, 0.5431)
Bi (0.7458, 0.3437, 0.5330)
Bi (0.7788, 0.1799, 0.0341)
O (0.0054, 0.5020, 0.2574)
O (0.0261, 0.5208, 0.7571)
O (0.0772, 0.0772, 0.4746)
O (0.1154, 0.7937, 0.4606)
O (0.1380, 0.3184, 0.1808)
O (0.2293, 0.3972, 0.6707)
O (0.3184, 0.1380, 0.1808)
O (0.3972, 0.2293, 0.6707)
O (0.4159, 0.7364, 0.9596)
O (0.4794, 0.4794, 0.9350)
O (0.5020, 0.0054, 0.2574)
O (0.5208, 0.0261, 0.7571)
O (0.6591, 0.8003, 0.2525)
O (0.7211, 0.8722, 0.7456)
O (0.7364, 0.4159, 0.9596)
O (0.7937, 0.1154, 0.4606)
O (0.8003, 0.6591, 0.2525)
O (0.8722, 0.7211, 0.7456)

***

Entry 5:
Computed powder X-ray diffraction pattern
Compound: Rb3Tl
Radiation: λ = 1.5418 Å (Cu Kα)
Structure: a DFT-relaxed cell (GGA-PBE, the Materials Project)
Peak positions follow from Bragg's law for the DFT cell and can differ from measured ones.

Peak list (10 most intense, 10 to 80 degrees two-theta, sorted by position)
2θ = 15.6°, I 12
2θ = 18.1°, I 7
2θ = 25.6°, I 100
2θ = 30.2°, I 8
2θ = 36.6°, I 20
2θ = 45.2°, I 43
2θ = 52.7°, I 14
2θ = 59.5°, I 19
2θ = 65.9°, I 5
2θ = 71.9°, I 22

Structure:
Cell lengths 6.9471, 6.9471, 6.9471 Å; angles 60.00, 60.00, 60.00 degrees
Fractional positions:
Rb (0.0000, 0.0000, 0.0000)
Rb (0.2500, 0.2500, 0.2500)
Rb (0.7500, 0.7500, 0.7500)
Tl (0.5000, 0.5000, 0.5000)

***

Entry 6:
Computed powder X-ray diffraction pattern
Compound: ZnSn2O4
Radiation: λ = 1.5418 Å (Cu Kα)
Structure: a DFT-relaxed cell (GGA-PBE, the Materials Project)
Peak positions follow from Bragg's law for the DFT cell and can differ from measured ones.

Peak list (10 most intense, 10 to 80 degrees two-theta, sorted by position)
2θ = 29.5°, I 100
2θ = 30.2°, I 24
2θ = 33.4°, I 23
2θ = 33.6°, I 23
2θ = 37.7°, I 21
2θ = 38.7°, I 29
2θ = 41.3°, I 26
2θ = 57.5°, I 28
2θ = 57.6°, I 19
2θ = 65.9°, I 21

Structure:
Cell lengths 5.5757, 5.5757, 11.0114 Å; angles 90.00, 90.00, 146.56 degrees
Fractional positions:
Zn (0.1009, 0.8991, 0.7500)
Zn (0.8991, 0.1009, 0.2500)
Sn (0.3675, 0.6325, 0.5766)
Sn (0.3675, 0.6325, 0.9234)
Sn (0.6325, 0.3675, 0.0766)
Sn (0.6325, 0.3675, 0.4234)
O (0.0000, 0.0000, 0.0000)
O (0.0000, 0.0000, 0.5000)
O (0.2721, 0.7279, 0.1151)
O (0.2721, 0.7279, 0.3849)
O (0.4808, 0.5192, 0.7500)
O (0.5192, 0.4808, 0.2500)
O (0.7279, 0.2721, 0.6151)
O (0.7279, 0.2721, 0.8849)

***

Entry 7:
Computed powder X-ray diffraction pattern
Compound: MgH18Br2O9
Radiation: λ = 1.5418 Å (Cu Kα)
Structure: a DFT-relaxed cell (GGA-PBE, the Materials Project)
Peak positions follow from Bragg's law for the DFT cell and can differ from measured ones.

Peak list (10 most intense, 10 to 80 degrees two-theta, sorted by position)
2θ = 18.8°, I 100
2θ = 26.0°, I 92
2θ = 27.3°, I 88
2θ = 27.9°, I 22
2θ = 31.2°, I 32
2θ = 33.4°, I 19
2θ = 38.1°, I 26
2θ = 41.9°, I 22
2θ = 43.6°, I 39
2θ = 45.1°, I 29

Structure:
Cell lengths 6.8600, 6.8600, 16.1562 Å; angles 92.41, 92.41, 56.77 degrees
Fractional positions:
Mg (0.0000, 0.0000, 0.0000)
Mg (0.0000, 0.0000, 0.5000)
H (0.0255, 0.9464, 0.8313)
H (0.0536, 0.9745, 0.6687)
H (0.1698, 0.7077, 0.2332)
H (0.1945, 0.7126, 0.6352)
H (0.2089, 0.2283, 0.5551)
H (0.2123, 0.5146, 0.8817)
H (0.2247, 0.2252, 0.4572)
H (0.2252, 0.2247, 0.9572)
H (0.2283, 0.2089, 0.0551)
H (0.2851, 0.5926, 0.0826)
H (0.2874, 0.8055, 0.8648)
H (0.2912, 0.3249, 0.3254)
H (0.2923, 0.8302, 0.2668)
H (0.2957, 0.5687, 0.4265)
H (0.3249, 0.2912, 0.8254)
H (0.4074, 0.7149, 0.4174)
H (0.4313, 0.7043, 0.0735)
H (0.4854, 0.7877, 0.6183)
H (0.5146, 0.2123, 0.3817)
H (0.5687, 0.2957, 0.9265)
H (0.5926, 0.2851, 0.5826)
H (0.6751, 0.7088, 0.1746)
H (0.7043, 0.4313, 0.5735)
H (0.7077, 0.1698, 0.7332)
H (0.7088, 0.6751, 0.6746)
H (0.7126, 0.1945, 0.1352)
H (0.7149, 0.4074, 0.9174)
H (0.7717, 0.7911, 0.9449)
H (0.7748, 0.7753, 0.0428)
H (0.7753, 0.7748, 0.5428)
H (0.7877, 0.4854, 0.1183)
H (0.7911, 0.7717, 0.4449)
H (0.8055, 0.2874, 0.3648)
H (0.8302, 0.2923, 0.7668)
H (0.9464, 0.0255, 0.3313)
H (0.9745, 0.0536, 0.1687)
Br (0.3223, 0.3332, 0.6779)
Br (0.3332, 0.3223, 0.1779)
Br (0.6668, 0.6777, 0.8221)
Br (0.6777, 0.6668, 0.3221)
O (0.1282, 0.8508, 0.8786)
O (0.1364, 0.8636, 0.2500)
O (0.1492, 0.8718, 0.6214)
O (0.1658, 0.1797, 0.5028)
O (0.1797, 0.1658, 0.0028)
O (0.2878, 0.7113, 0.4478)
O (0.2887, 0.7122, 0.0522)
O (0.3106, 0.3434, 0.8841)
O (0.3434, 0.3106, 0.3841)
O (0.6566, 0.6894, 0.6159)
O (0.6894, 0.6566, 0.1159)
O (0.7113, 0.2878, 0.9478)
O (0.7122, 0.2887, 0.5522)
O (0.8203, 0.8342, 0.9972)
O (0.8342, 0.8203, 0.4972)
O (0.8508, 0.1282, 0.3786)
O (0.8636, 0.1364, 0.7500)
O (0.8718, 0.1492, 0.1214)

***

Entry 8:
Computed powder X-ray diffraction pattern
Compound: MgGe7N10
Radiation: λ = 1.5418 Å (Cu Kα)
Structure: a DFT-relaxed cell (GGA-PBE, the Materials Project)
Peak positions follow from Bragg's law for the DFT cell and can differ from measured ones.

Peak list (10 most intense, 10 to 80 degrees two-theta, sorted by position)
2θ = 12.1°, I 58
2θ = 13.1°, I 100
2θ = 15.0°, I 56
2θ = 18.4°, I 97
2θ = 28.0°, I 58
2θ = 28.3°, I 76
2θ = 29.5°, I 72
2θ = 35.5°, I 70
2θ = 37.2°, I 76
2θ = 37.8°, I 70

Structure:
Cell lengths 7.0181, 7.3335, 10.3081 Å; angles 90.00, 104.88, 90.00 degrees
Fractional positions:
Mg (0.0000, 0.0845, 0.0000)
Mg (0.0000, 0.9155, 0.5000)
Ge (0.1189, 0.3950, 0.8730)
Ge (0.1189, 0.6050, 0.3730)
Ge (0.3085, 0.3780, 0.1828)
Ge (0.3085, 0.6220, 0.6828)
Ge (0.3435, 0.0211, 0.8187)
Ge (0.3435, 0.9789, 0.3187)
Ge (0.4943, 0.3642, 0.4869)
Ge (0.4943, 0.6358, 0.9869)
Ge (0.5480, 0.0226, 0.1215)
Ge (0.5480, 0.9774, 0.6215)
Ge (0.6681, 0.3543, 0.7957)
Ge (0.6681, 0.6457, 0.2957)
Ge (0.8473, 0.3829, 0.1139)
Ge (0.8473, 0.6171, 0.6139)
N (0.0854, 0.4253, 0.2410)
N (0.0854, 0.5747, 0.7410)
N (0.1373, 0.1483, 0.8450)
N (0.1373, 0.8517, 0.3450)
N (0.3009, 0.4885, 0.0223)
N (0.3009, 0.5115, 0.5223)
N (0.3047, 0.1252, 0.1580)
N (0.3047, 0.8748, 0.6580)
N (0.4428, 0.1205, 0.4711)
N (0.4428, 0.8795, 0.9711)
N (0.5155, 0.4511, 0.3221)
N (0.5155, 0.5489, 0.8221)
N (0.5586, 0.1280, 0.7708)
N (0.5586, 0.8720, 0.2708)
N (0.7144, 0.4042, 0.6280)
N (0.7144, 0.5958, 0.1280)
N (0.7669, 0.1433, 0.1050)
N (0.7669, 0.8567, 0.6050)
N (0.8934, 0.3699, 0.9377)
N (0.8934, 0.6301, 0.4377)

***

Entry 9:
Computed powder X-ray diffraction pattern
Compound: Ni2PdSe2
Radiation: λ = 1.5418 Å (Cu Kα)
Structure: a DFT-relaxed cell (GGA-PBE, the Materials Project)
Peak positions follow from Bragg's law for the DFT cell and can differ from measured ones.

Peak list (10 most intense, 10 to 80 degrees two-theta, sorted by position)
2θ = 23.7°, I 22
2θ = 29.8°, I 71
2θ = 34.4°, I 52
2θ = 36.0°, I 45
2θ = 38.0°, I 71
2θ = 41.8°, I 53
2θ = 47.0°, I 90
2θ = 48.6°, I 100
2θ = 51.8°, I 51
2θ = 76.3°, I 23

Structure:
Cell lengths 8.0088, 8.0088, 8.0088 Å; angles 97.15, 97.15, 138.69 degrees
Fractional positions:
Ni (0.0957, 0.5957, 0.1914)
Ni (0.0957, 0.9043, 0.5000)
Ni (0.4043, 0.5957, 0.5000)
Ni (0.4043, 0.9043, 0.8086)
Ni (0.5957, 0.0957, 0.1914)
Ni (0.5957, 0.4043, 0.5000)
Ni (0.9043, 0.0957, 0.5000)
Ni (0.9043, 0.4043, 0.8086)
Pd (0.0000, 0.0000, 0.0000)
Pd (0.0000, 0.5000, 0.5000)
Pd (0.5000, 0.0000, 0.5000)
Pd (0.5000, 0.5000, 0.0000)
Se (0.0000, 0.2450, 0.2450)
Se (0.0000, 0.7550, 0.7550)
Se (0.2450, 0.0000, 0.2450)
Se (0.3311, 0.3311, 0.6622)
Se (0.3311, 0.6689, 0.0000)
Se (0.6689, 0.3311, 0.0000)
Se (0.6689, 0.6689, 0.3378)
Se (0.7550, 0.0000, 0.7550)

***

Entry 10:
Computed powder X-ray diffraction pattern
Compound: CeGa6
Radiation: λ = 1.5418 Å (Cu Kα)
Structure: a DFT-relaxed cell (GGA-PBE, the Materials Project)
Peak positions follow from Bragg's law for the DFT cell and can differ from measured ones.

Peak list (10 most intense, 10 to 80 degrees two-theta, sorted by position)
2θ = 31.3°, I 34
2θ = 31.9°, I 100
2θ = 34.8°, I 13
2θ = 35.3°, I 35
2θ = 40.9°, I 82
2θ = 42.5°, I 35
2θ = 53.7°, I 22
2θ = 68.8°, I 12
2θ = 69.3°, I 19
2θ = 76.7°, I 19

Structure:
Cell lengths 6.0146, 6.0146, 7.7257 Å; angles 90.00, 90.00, 90.00 degrees
Fractional positions:
Ce (0.2500, 0.7500, 0.0000)
Ce (0.7500, 0.2500, 0.0000)
Ga (0.0663, 0.5663, 0.3518)
Ga (0.0663, 0.9337, 0.6482)
Ga (0.2500, 0.2500, 0.1612)
Ga (0.2500, 0.2500, 0.8388)
Ga (0.4337, 0.5663, 0.6482)
Ga (0.4337, 0.9337, 0.3518)
Ga (0.5663, 0.0663, 0.6482)
Ga (0.5663, 0.4337, 0.3518)
Ga (0.7500, 0.7500, 0.1612)
Ga (0.7500, 0.7500, 0.8388)
Ga (0.9337, 0.0663, 0.3518)
Ga (0.9337, 0.4337, 0.6482)